Calculated powder diffraction line list of CeB2Ir2 for Cu Ka, from a cell relaxed with PBE.
Intensities are scaled so that the largest is 100.

Most intense lines, 2θ from 15° to 90°, sorted by position:
2θ = 19.35°, I 28
2θ = 30.69°, I 100
2θ = 35.34°, I 100
2θ = 38.37°, I 41
2θ = 41.24°, I 50
2θ = 46.15°, I 24
2θ = 49.56°, I 18
2θ = 53.18°, I 22
2θ = 67.43°, I 18
2θ = 81.53°, I 18

Crystal structure
```
CeB2Ir2
1.0
0.000 4.692 5.334
3.021 0.000 5.334
3.021 4.692 0.000
Ce B Ir
2 4 4
Cartesian
0.755 1.173 1.333 Ce
5.286 8.211 9.334 Ce
2.265 1.827 4.000 B
3.776 4.173 6.667 B
2.265 5.211 4.000 B
3.776 7.557 6.667 B
2.265 3.519 2.617 Ir
3.776 5.865 5.284 Ir
2.265 3.519 5.384 Ir
3.776 5.865 8.051 Ir
```



Calculated powder diffraction line list of Ce2B2Ir5 for Cu Ka, from a cell relaxed with PBE.
Intensities are scaled so that the largest is 100.

Most intense lines, 2θ from 15° to 90°, sorted by position:
2θ = 33.90°, I 62
2θ = 36.38°, I 45
2θ = 37.82°, I 100
2θ = 38.15°, I 54
2θ = 41.60°, I 66
2θ = 47.68°, I 34
2θ = 60.54°, I 22
2θ = 68.08°, I 37
2θ = 71.37°, I 29
2θ = 78.26°, I 21

Crystal structure
```
Ce2B2Ir5
1.0
2.754 1.590 10.583
-2.754 1.590 10.583
0.000 -3.181 10.583
Ce B Ir
4 4 10
Cartesian
0.000 0.000 1.628 Ce
0.000 0.000 4.831 Ce
0.000 0.000 26.919 Ce
0.000 0.000 30.121 Ce
0.000 0.000 8.997 B
0.000 0.000 12.142 B
0.000 0.000 19.607 B
0.000 0.000 22.753 B
-1.377 -0.795 10.583 Ir
-1.358 -0.784 13.629 Ir
0.000 -1.568 18.120 Ir
-1.358 0.784 18.120 Ir
-1.377 0.795 21.166 Ir
0.000 1.590 10.583 Ir
0.000 0.000 15.875 Ir
1.358 -0.784 13.629 Ir
0.000 1.568 13.629 Ir
1.358 0.784 18.120 Ir
```



Calculated powder diffraction line list of LaCeSi2B2O10 for Cu Ka, from a cell relaxed with PBE.
Intensities are scaled so that the largest is 100.

Most intense lines, 2θ from 15° to 90°, sorted by position:
2θ = 19.77°, I 75
2θ = 25.96°, I 77
2θ = 30.07°, I 100
2θ = 30.13°, I 23
2θ = 40.11°, I 19
2θ = 40.17°, I 20
2θ = 42.28°, I 25
2θ = 42.38°, I 27
2θ = 48.40°, I 36
2θ = 68.85°, I 19

Crystal structure
```
LaCeSi2B2O10
1.0
6.855 0.000 0.000
-0.010 6.858 0.000
-0.010 -0.038 11.905
La Ce Si B O
3 3 6 6 30
Cartesian
0.000 0.000 0.000 La
-0.007 3.411 5.947 La
2.274 2.692 9.512 La
2.274 6.134 3.560 Ce
4.566 -0.017 7.110 Ce
4.564 3.430 1.165 Ce
1.139 0.029 7.020 Si
1.137 3.483 1.076 Si
3.428 0.058 0.103 Si
3.421 3.473 6.046 Si
5.700 2.584 9.507 Si
5.702 6.032 3.556 Si
-0.004 1.673 2.916 B
6.840 5.084 8.867 B
2.282 2.784 3.558 B
2.272 6.191 9.510 B
4.563 1.668 4.201 B
4.555 5.080 10.155 B
0.016 1.159 6.734 O
0.013 4.607 0.782 O
0.174 2.186 1.510 O
0.165 5.593 7.461 O
1.138 1.913 3.785 O
1.127 5.322 9.736 O
2.100 3.751 2.416 O
2.105 0.295 8.362 O
2.251 3.136 11.856 O
2.245 6.579 5.887 O
2.301 3.150 7.172 O
2.307 6.592 1.237 O
2.458 0.291 10.663 O
2.461 3.748 4.703 O
3.424 1.912 3.331 O
3.415 5.320 9.286 O
4.384 2.176 5.611 O
4.375 5.584 11.566 O
4.538 1.201 0.389 O
4.531 4.611 6.339 O
4.593 1.761 8.665 O
4.587 5.213 2.716 O
4.742 0.194 4.462 O
4.734 3.605 10.415 O
5.697 5.713 9.514 O
5.708 2.301 3.561 O
6.674 0.202 2.652 O
6.662 3.612 8.605 O
6.820 1.767 10.347 O
6.825 5.220 4.389 O
```